Entry 1:
Starting from a cell relaxed with GGA-PBE, the powder X-ray diffraction pattern of Sm4Dy7Th was computed for λ = 1.5418 Å (Cu Kα).

Top 8 peaks for 2θ from 10° to 90°, in order of rising 2θ:
Position (°2θ)	intensity	h k l
30.61	100	0 2 1
30.73	33	-2 1 2
35.52	67	0 0 3
51.04	24	2 1 2
51.20	24	-2 3 3
60.74	29	4 0 0
60.82	14	-2 5 1
63.73	12	0 4 2

Atomic structure:
```
data_Sm4Dy7Th
_chemical_formula_sum 'Sm4 Dy7 Th1'
_space_group_name_H-M_alt 'P -1'
_space_group_IT_number 2
_space_group_name_Hall '-P 1'
_cell_length_a 7.134
_cell_length_b 7.991
_cell_length_c 7.992
_cell_angle_alpha 95.87
_cell_angle_beta 102.66
_cell_angle_gamma 116.49
loop_
_atom_site_label
_atom_site_type_symbol
_atom_site_fract_x
_atom_site_fract_y
_atom_site_fract_z
Sm1 Sm 0.006 0.170 0.169
Sm2 Sm 0.254 0.666 0.171
Dy1 Dy 0.000 0.500 0.500
Dy2 Dy 0.252 0.005 0.500
Dy3 Dy 0.254 0.336 0.829
Dy4 Dy 0.500 0.170 0.170
Th1 Th 0.500 0.500 0.500
```


Entry 2:
Starting from a cell relaxed with GGA-PBE, the powder X-ray diffraction pattern of KAg2O4 was computed for λ = 1.5418 Å (Cu Kα).

Top 8 peaks for 2θ from 10° to 90°, in order of rising 2θ:
Position (°2θ)	intensity	h k l
15.86	91	1 0 1
29.47	35	1 0 3
31.21	100	1 2 1
32.04	84	2 0 2
38.12	18	2 2 0
46.54	20	1 0 5
52.84	32	2 2 4
65.10	27	4 2 2

Atomic structure:
```
data_KAg2O4
_chemical_formula_sum 'K4 Ag8 O16'
_space_group_name_H-M_alt 'I 41/a'
_space_group_IT_number 88
_cell_length_a 6.677
_cell_length_b 6.677
_cell_length_c 10.204
_cell_angle_alpha 90.00
_cell_angle_beta 90.00
_cell_angle_gamma 90.00
loop_
_space_group_symop_operation_xyz
'x,y,z'
'-x,-y,-z'
'-y+3/4,x+1/4,z+1/4'
'y+3/4,-x+1/4,-z+1/4'
'-x+1/2,-y,z+1/2'
'x+1/2,y,-z+1/2'
'y+3/4,-x+3/4,z+3/4'
'-y+3/4,x+3/4,-z+3/4'
'x+1/2,y+1/2,z+1/2'
'-x+1/2,-y+1/2,-z+1/2'
'-y+1/4,x+3/4,z+3/4'
'y+1/4,-x+3/4,-z+3/4'
'-x,-y+1/2,z'
'x,y+1/2,-z'
'y+1/4,-x+1/4,z+1/4'
'-y+1/4,x+1/4,-z+1/4'
loop_
_atom_site_label
_atom_site_type_symbol
_atom_site_fract_x
_atom_site_fract_y
_atom_site_fract_z
K1 K 0.000 0.250 0.125
Ag1 Ag 0.000 0.000 0.500
O1 O 0.138 0.495 0.324
```


Entry 3:
Starting from a cell relaxed with GGA-PBE, the powder X-ray diffraction pattern of DyHo2Ru was computed for λ = 1.5418 Å (Cu Kα).

Top 8 peaks for 2θ from 10° to 90°, in order of rising 2θ:
Position (°2θ)	intensity	h k l
31.16	90	1 1 2
32.23	61	1 3 0
33.29	100	0 2 3
33.75	100	1 3 1
38.43	52	1 1 3
46.52	35	2 0 0
58.39	40	2 2 3
71.01	26	2 6 2

Atomic structure:
```
data_DyHo2Ru
_chemical_formula_sum 'Dy4 Ho8 Ru4'
_space_group_name_H-M_alt 'C m c m'
_space_group_IT_number 63
_space_group_name_Hall '-C 2c 2'
_cell_length_a 3.905
_cell_length_b 11.853
_cell_length_c 9.063
_cell_angle_alpha 90.00
_cell_angle_beta 90.00
_cell_angle_gamma 90.00
loop_
_atom_site_label
_atom_site_type_symbol
_atom_site_fract_x
_atom_site_fract_y
_atom_site_fract_z
Dy1 Dy 0.000 0.076 0.250
Ho1 Ho 0.000 0.357 0.067
Ru1 Ru 0.000 0.257 0.750
```


Entry 4:
Starting from a cell relaxed with GGA-PBE, the powder X-ray diffraction pattern of Mg2Cu2Se was computed for λ = 1.5418 Å (Cu Kα).

Top 8 peaks for 2θ from 10° to 90°, in order of rising 2θ:
Position (°2θ)	intensity	h k l
22.77	68	0 0 1
30.05	18	2 1 0
35.46	30	2 0 1
38.03	100	2 1 1
43.01	57	3 1 0
46.52	26	0 0 2
49.21	37	3 1 1
65.20	31	3 1 2

Atomic structure:
```
data_Mg2Cu2Se
_chemical_formula_sum 'Mg4 Cu4 Se2'
_space_group_name_H-M_alt 'P 4/m b m'
_space_group_IT_number 127
_space_group_name_Hall '-P 4 2ab'
_cell_length_a 6.650
_cell_length_b 6.650
_cell_length_c 3.905
_cell_angle_alpha 90.00
_cell_angle_beta 90.00
_cell_angle_gamma 90.00
loop_
_atom_site_label
_atom_site_type_symbol
_atom_site_fract_x
_atom_site_fract_y
_atom_site_fract_z
Mg1 Mg 0.163 0.337 0.000
Cu1 Cu 0.128 0.628 0.500
Se1 Se 0.000 0.000 0.500
```


Entry 5:
Starting from a cell relaxed with GGA-PBE, the powder X-ray diffraction pattern of BeTc5 was computed for λ = 1.5418 Å (Cu Kα).

Top 8 peaks for 2θ from 10° to 90°, in order of rising 2θ:
Position (°2θ)	intensity	h k l
34.21	10	1 1 -1
38.69	8	4 0 -1
41.90	100	2 0 2
43.95	46	3 1 0
57.51	7	2 0 -4
63.91	14	0 2 0
75.09	13	1 1 4
79.37	19	2 2 2

Atomic structure:
```
data_BeTc5
_chemical_formula_sum 'Be2 Tc10'
_space_group_name_H-M_alt 'C 1 m 1'
_space_group_IT_number 8
_space_group_name_Hall 'C -2y'
_cell_length_a 9.311
_cell_length_b 2.912
_cell_length_c 6.410
_cell_angle_alpha 90.00
_cell_angle_beta 110.06
_cell_angle_gamma 90.00
loop_
_atom_site_label
_atom_site_type_symbol
_atom_site_fract_x
_atom_site_fract_y
_atom_site_fract_z
Be1 Be 0.000 0.000 0.000
Tc1 Tc 0.017 0.000 0.548
Tc2 Tc 0.171 0.500 0.891
Tc3 Tc 0.181 0.500 0.334
Tc4 Tc 0.331 0.000 0.696
Tc5 Tc 0.371 0.000 0.184
```


Entry 6:
Starting from a cell relaxed with GGA-PBE, the powder X-ray diffraction pattern of CuSnTeO5 was computed for λ = 1.5418 Å (Cu Kα).

Top 8 peaks for 2θ from 10° to 90°, in order of rising 2θ:
Position (°2θ)	intensity	h k l
17.71	63	1 1 -1
23.57	50	1 1 1
30.64	46	2 0 -2
31.50	31	1 3 -1
31.70	100	0 2 2
33.12	72	2 2 0
36.87	27	0 4 0
48.67	35	2 4 -2

Atomic structure:
```
data_CuSnTeO5
_chemical_formula_sum 'Cu4 Sn4 Te4 O20'
_space_group_name_H-M_alt 'C 1 2/c 1'
_space_group_IT_number 15
_space_group_name_Hall '-C 2yc'
_cell_length_a 6.917
_cell_length_b 9.752
_cell_length_c 7.363
_cell_angle_alpha 90.00
_cell_angle_beta 109.95
_cell_angle_gamma 90.00
loop_
_atom_site_label
_atom_site_type_symbol
_atom_site_fract_x
_atom_site_fract_y
_atom_site_fract_z
Cu1 Cu 0.000 0.021 0.250
Sn1 Sn 0.250 0.250 0.000
Te1 Te 0.000 0.491 0.250
O1 O 0.000 0.187 0.750
O2 O 0.021 0.356 0.067
O3 O 0.192 0.062 0.124
```